No. 1
Diffraction record for Pu4Tc4Ge. The X-ray diffraction stick pattern is computed, not measured: it uses a GGA-PBE-relaxed structure and Cu Kα (λ = 1.5418 Å).
Peak positions follow from Bragg's law for the DFT cell and can differ from measured ones.

Most intense lines, 10° ≤ 2θ ≤ 90°, low angle first:
2θ 27.34, I 49.4
2θ 28.12, I 55.9
2θ 32.77, I 15.1
2θ 33.32, I 51.2
2θ 40.10, I 100.0
2θ 44.15, I 49.0
2θ 47.84, I 14.5
2θ 49.30, I 25.6
2θ 58.09, I 24.7
2θ 74.23, I 36.1

Structure:
a = 7.605 Å, b = 7.605 Å, c = 6.346 Å
α = 90.00°, β = 90.00°, γ = 90.00°
Space group P4_2/nmc (No. 137, origin choice 2)
One atom of each set of equivalent atoms:
Pu1 0.060 0.250 0.003 x8
Tc1 0.057 0.750 0.579 x8
Ge1 0.250 0.750 0.250 x2

***

No. 2
Diffraction record for K6ZrO4. The X-ray diffraction stick pattern is computed, not measured: it uses a GGA-PBE-relaxed structure and Cu Kα (λ = 1.5418 Å).
Peak positions follow from Bragg's law for the DFT cell and can differ from measured ones.

Most intense lines, 10° ≤ 2θ ≤ 90°, low angle first:
2θ 14.08, I 45.0
2θ 16.26, I 43.8
2θ 21.58, I 20.0
2θ 25.85, I 100.0
2θ 28.36, I 33.8
2θ 32.87, I 18.8
2θ 35.91, I 14.7
2θ 40.55, I 24.0
2θ 43.96, I 27.1
2θ 48.71, I 17.1

Structure:
a = 12.5819 Å, b = 12.5819 Å, c = 6.2953 Å
α = 90.00°, β = 90.00°, γ = 120.00°
Space group P6_3mc (No. 186)
One atom of each set of equivalent atoms:
K1 0.1427 0.5713 0.0000 x6
K2 0.1450 0.2901 0.4244 x6
Zr1 0.3333 0.6667 0.4335 x2
O1 0.2504 0.5009 0.2961 x6
O2 0.3333 0.6667 0.7522 x2

***

No. 3
Diffraction record for NaTlHgBi. The X-ray diffraction stick pattern is computed, not measured: it uses a GGA-PBE-relaxed structure and Cu Kα (λ = 1.5418 Å).
Peak positions follow from Bragg's law for the DFT cell and can differ from measured ones.

Most intense lines, 10° ≤ 2θ ≤ 90°, low angle first:
2θ 13.15, I 25.6
2θ 22.77, I 18.2
2θ 31.10, I 100.0
2θ 32.50, I 89.0
2θ 36.38, I 33.0
2θ 36.78, I 32.1
2θ 37.51, I 30.6
2θ 53.25, I 22.5
2θ 53.55, I 22.2
2θ 61.36, I 14.8

Structure:
a = 3.594 Å, b = 4.796 Å, c = 6.731 Å
α = 90.00°, β = 90.61°, γ = 90.00°
Space group Pm (No. 6)
One atom of each set of equivalent atoms:
Na1 0.000 0.000 0.000 x1
Tl1 0.997 0.000 0.509 x1
Hg1 0.498 0.500 0.755 x1
Bi1 0.501 0.500 0.249 x1

***

No. 4
Diffraction record for In3Sb. The X-ray diffraction stick pattern is computed, not measured: it uses a GGA-PBE-relaxed structure and Cu Kα (λ = 1.5418 Å).
Peak positions follow from Bragg's law for the DFT cell and can differ from measured ones.

Most intense lines, 10° ≤ 2θ ≤ 90°, low angle first:
2θ 32.28, I 100.0
2θ 37.45, I 49.9
2θ 54.00, I 33.6
2θ 64.33, I 38.9
2θ 67.57, I 11.2
2θ 79.89, I 5.2
2θ 88.76, I 8.1
2θ 88.85, I 8.3

Structure:
a = 3.3946 Å, b = 3.3946 Å, c = 33.3018 Å
α = 90.00°, β = 90.00°, γ = 120.00°
Space group R-3m (No. 166, hexagonal axes)
One atom of each set of equivalent atoms:
In1 0.0000 0.0000 0.0000 x3
In2 0.0000 0.0000 0.2484 x6
Sb1 0.0000 0.0000 0.5000 x3

***

No. 5
Diffraction record for LiPr12Ni6. The X-ray diffraction stick pattern is computed, not measured: it uses a GGA-PBE-relaxed structure and Cu Kα (λ = 1.5418 Å).
Peak positions follow from Bragg's law for the DFT cell and can differ from measured ones.

Most intense lines, 10° ≤ 2θ ≤ 90°, low angle first:
2θ 12.30, I 18.4
2θ 27.73, I 44.0
2θ 30.43, I 31.5
2θ 32.94, I 100.0
2θ 45.45, I 23.0
2θ 52.44, I 36.0
2θ 54.08, I 15.4
2θ 55.69, I 31.7
2θ 80.02, I 15.3
2θ 81.35, I 17.6

Structure:
a = 10.175 Å, b = 10.175 Å, c = 10.175 Å
α = 90.00°, β = 90.00°, γ = 90.00°
Space group Im-3 (No. 204)
One atom of each set of equivalent atoms:
Li1 0.000 0.000 0.000 x2
Pr1 0.000 0.187 0.309 x24
Ni1 0.000 0.380 0.500 x12

***

No. 6
Diffraction record for VNi2Pd8. The X-ray diffraction stick pattern is computed, not measured: it uses a GGA-PBE-relaxed structure and Cu Kα (λ = 1.5418 Å).
Peak positions follow from Bragg's law for the DFT cell and can differ from measured ones.

Most intense lines, 10° ≤ 2θ ≤ 90°, low angle first:
2θ 20.56, I 22.3
2θ 23.84, I 22.6
2θ 28.09, I 23.8
2θ 31.65, I 22.4
2θ 38.26, I 79.0
2θ 40.90, I 22.7
2θ 41.58, I 68.1
2θ 41.74, I 61.1
2θ 43.85, I 100.0
2θ 51.61, I 37.0

Structure:
a = 9.740 Å, b = 8.657 Å, c = 4.491 Å
α = 90.00°, β = 106.26°, γ = 90.00°
Space group C2/m (No. 12)
One atom of each set of equivalent atoms:
V1 0.000 0.000 0.000 x2
Ni1 0.130 0.000 0.515 x4
Pd1 0.085 0.500 0.303 x4
Pd2 0.087 0.242 0.801 x8
Pd3 0.240 0.500 0.899 x4

***

No. 7
Diffraction record for Pa6CoS5. The X-ray diffraction stick pattern is computed, not measured: it uses a GGA-PBE-relaxed structure and Cu Kα (λ = 1.5418 Å).
Peak positions follow from Bragg's law for the DFT cell and can differ from measured ones.

Most intense lines, 10° ≤ 2θ ≤ 90°, low angle first:
2θ 27.96, I 96.3
2θ 32.40, I 100.0
2θ 46.48, I 72.8
2θ 55.09, I 11.6
2θ 55.13, I 34.8
2θ 57.80, I 25.2
2θ 67.84, I 11.6
2θ 74.86, I 9.5
2θ 77.18, I 26.7
2θ 86.18, I 16.4

Structure:
a = 6.770 Å, b = 11.710 Å, c = 6.773 Å
α = 90.00°, β = 109.45°, γ = 90.00°
Space group C2/m (No. 12)
One atom of each set of equivalent atoms:
Pa1 0.240 0.000 0.256 x4
Pa2 0.241 0.161 0.741 x8
Co1 0.000 0.000 0.500 x2
S1 0.000 0.171 0.000 x4
S2 0.000 0.334 0.500 x4
S3 0.000 0.500 0.000 x2

***

No. 8
Diffraction record for LaPm2Cu2Sn2. The X-ray diffraction stick pattern is computed, not measured: it uses a GGA-PBE-relaxed structure and Cu Kα (λ = 1.5418 Å).
Peak positions follow from Bragg's law for the DFT cell and can differ from measured ones.

Most intense lines, 10° ≤ 2θ ≤ 90°, low angle first:
2θ 22.34, I 23.3
2θ 31.05, I 100.0
2θ 33.34, I 67.8
2θ 38.83, I 92.7
2θ 50.53, I 25.5
2θ 52.09, I 19.5
2θ 62.66, I 32.0
2θ 65.50, I 24.2
2θ 66.83, I 18.7
2θ 70.30, I 16.1

Structure:
a = 4.6384 Å, b = 4.6384 Å, c = 28.9199 Å
α = 90.00°, β = 90.00°, γ = 120.00°
Space group R-3m (No. 166, hexagonal axes)
One atom of each set of equivalent atoms:
La1 0.0000 0.0000 0.0000 x3
Pm1 0.0000 0.0000 0.1304 x6
Cu1 0.0000 0.0000 0.4139 x6
Sn1 0.0000 0.0000 0.2624 x6

***

No. 9
Diffraction record for CsVSi2Te8. The X-ray diffraction stick pattern is computed, not measured: it uses a GGA-PBE-relaxed structure and Cu Kα (λ = 1.5418 Å).
Peak positions follow from Bragg's law for the DFT cell and can differ from measured ones.

Most intense lines, 10° ≤ 2θ ≤ 90°, low angle first:
2θ 27.27, I 100.0
2θ 30.25, I 20.8
2θ 32.49, I 65.2
2θ 44.61, I 34.0
2θ 48.55, I 21.1
2θ 53.08, I 14.9
2θ 54.85, I 22.3
2θ 56.26, I 12.7
2θ 71.78, I 11.4
2θ 74.50, I 10.4

Structure:
a = 7.0364 Å, b = 7.0364 Å, c = 26.5938 Å
α = 90.00°, β = 90.00°, γ = 120.00°
Space group R-3 (No. 148, hexagonal axes)
One atom of each set of equivalent atoms:
Cs1 0.0000 0.0000 0.0000 x3
V1 0.0000 0.0000 0.5000 x3
Si1 0.0000 0.0000 0.2515 x6
Te1 0.0000 0.0000 0.3466 x6
Te2 0.0005 0.3165 0.8825 x18

***

No. 10
Diffraction record for Ce5Tl. The X-ray diffraction stick pattern is computed, not measured: it uses a GGA-PBE-relaxed structure and Cu Kα (λ = 1.5418 Å).
Peak positions follow from Bragg's law for the DFT cell and can differ from measured ones.

Most intense lines, 10° ≤ 2θ ≤ 90°, low angle first:
2θ 32.62, I 100.0
2θ 33.15, I 99.7
2θ 34.85, I 45.0
2θ 37.78, I 28.9
2θ 41.59, I 27.8
2θ 55.34, I 24.0
2θ 57.46, I 23.5
2θ 60.74, I 16.0
2θ 61.73, I 17.1
2θ 70.54, I 11.9

Structure:
a = 11.237 Å, b = 4.343 Å, c = 7.106 Å
α = 90.00°, β = 112.85°, γ = 90.00°
Space group C2/m (No. 12)
One atom of each set of equivalent atoms:
Ce1 0.000 0.000 0.000 x2
Ce2 0.180 0.500 0.367 x4
Ce3 0.180 0.500 0.869 x4
Tl1 0.000 0.000 0.500 x2